For NiRh2Br, a DFT-relaxed cell (PBE, Alexandria) gives the computed powder XRD pattern in this record (Cu Kα, 1.54184 Å).
Peak positions follow from Bragg's law for the DFT cell and can differ from measured ones.

Principal peaks in the range 10 to 90 degrees two-theta, by angle:
d [Å], Rel. int.
2.480, 40
2.220, 26
2.142, 100
1.654, 20
1.405, 6
1.357, 22
1.266, 15
1.240, 4
1.222, 8
1.187, 7

Crystal structure
```
NiRh2Br
1.0
1.4050 -2.4800 0.0000
1.4050 2.4800 0.0000
0.0000 0.0000 8.8796
Ni Rh Br
1 2 1
direct
0.0000 0.0000 0.0000
0.0000 0.0000 0.5146
0.5000 0.5000 0.7648
0.5000 0.5000 0.2373
```

=====

For Pr2Sm4Er7, a DFT-relaxed cell (PBE, Alexandria) gives the computed powder XRD pattern in this record (Cu Kα, 1.54184 Å).
Peak positions follow from Bragg's law for the DFT cell and can differ from measured ones.

Principal peaks in the range 10 to 90 degrees two-theta, by angle:
d [Å], Rel. int.
3.225, 28
3.189, 35
3.118, 26
3.044, 44
2.984, 47
2.958, 34
2.758, 100
2.726, 75
2.606, 26
2.549, 55

Crystal structure
```
Pr2Sm4Er7
1.0
3.2373 -5.5053 0.0000
3.2373 5.5053 0.0000
-1.1659 0.0000 11.9356
Pr Sm Er
2 4 7
direct
0.1580 0.8420 0.0000
0.8420 0.1580 0.0000
0.2145 0.7855 0.5000
0.3374 0.3374 0.5832
0.6626 0.6626 0.4168
0.7855 0.2145 0.5000
0.0889 0.4633 0.7753
0.1701 0.1701 0.2732
0.4633 0.0889 0.7753
0.5000 0.5000 0.0000
0.5367 0.9111 0.2247
0.8299 0.8299 0.7268
0.9111 0.5367 0.2247
```